Structure and calculated powder diffraction line list of La2Cd3Hg (a crystal structure in Alexandria, relaxed with PBE; Cu Ka).

Structure:
```
data_La2Cd3Hg
_chemical_formula_sum 'La16 Cd24 Hg8'
_symmetry_space_group_name_H-M 'F m m m'
_symmetry_Int_Tables_number 69
_symmetry_space_group_name_Hall '-F 2 2'
_cell_length_a 7.048
_cell_length_b 10.257
_cell_length_c 17.817
_cell_angle_alpha 90.00
_cell_angle_beta 90.00
_cell_angle_gamma 90.00
loop_
_atom_site_label
_atom_site_type_symbol
_atom_site_fract_x
_atom_site_fract_y
_atom_site_fract_z
La1 La 0.243 0.000 0.000
La2 La 0.250 0.250 0.250
Cd1 Cd 0.000 0.000 0.334
Cd2 Cd 0.000 0.248 0.417
Hg1 Hg 0.000 0.000 0.167
```

Most intense lines, 10° ≤ 2θ ≤ 90°, most intense first:
| index | 2theta | Rel. int. |
| --- | --- | --- |
| 2 2 2 | 32.41 | 1000 |
| 0 4 0 | 34.94 | 920 |
| 2 0 8 | 48.40 | 323 |
| 4 4 0 | 64.10 | 307 |
| 2 4 8 | 61.04 | 212 |
| 0 6 6 | 62.71 | 109 |
| 2 4 0 | 43.61 | 109 |
| 4 0 12 | 85.51 | 109 |
| 2 6 2 | 61.15 | 107 |
| 4 0 0 | 51.89 | 98 |